[1]
Computed powder XRD pattern of MgPd3 for Cu Kα X-rays, from a cell relaxed with PBE.

Top 10 peaks for 2θ = 10–90°, in order of falling intensity:
Position (°2θ)  intensity
41.9  100
39.5  26
36.7  24
79.9  19
26.7  19
73.3  18
66.1  17
55.1  15
81.4  14
18.1  8

Cell and atoms:
Cell lengths 5.6518, 5.6518, 4.5577 Å; angles 90.00, 90.00, 120.00 degrees
Fractional coordinates of all 8 atoms:
Mg: 0.3333 0.6667 0.2500
Mg: 0.6667 0.3333 0.7500
Pd: 0.1666 0.3332 0.7500
Pd: 0.1666 0.8334 0.7500
Pd: 0.3332 0.1666 0.2500
Pd: 0.6668 0.8334 0.7500
Pd: 0.8334 0.1666 0.2500
Pd: 0.8334 0.6668 0.2500

***

[2]
Computed powder XRD pattern of Nb2Cr3Si3 for Cu Kα X-rays, from a cell relaxed with PBE.

Top 10 peaks for 2θ = 10–90°, in order of falling intensity:
Position (°2θ)  intensity
42.9  100
42.5  85
42.2  83
44.9  64
39.8  56
30.7  54
45.1  42
38.0  39
38.5  35
37.0  34

Cell and atoms:
Cell lengths 4.8624, 7.2638, 7.2638 Å; angles 121.14, 90.00, 90.00 degrees
Fractional coordinates of all 16 atoms:
Nb: 0.0000 0.0000 0.0000
Nb: 0.0000 0.2212 0.4635
Nb: 0.0000 0.4635 0.2212
Nb: 0.5000 0.4559 0.4559
Cr: 0.2524 0.5560 0.8851
Cr: 0.2524 0.8851 0.5560
Cr: 0.5000 0.2267 0.9718
Cr: 0.5000 0.9718 0.2267
Cr: 0.7476 0.5560 0.8851
Cr: 0.7476 0.8851 0.5560
Si: 0.0000 0.2210 0.8139
Si: 0.0000 0.6340 0.6340
Si: 0.0000 0.8139 0.2210
Si: 0.5000 0.2140 0.6260
Si: 0.5000 0.6260 0.2140
Si: 0.5000 0.8327 0.8327

***

[3]
Computed powder XRD pattern of Mg2AgPt for Cu Kα X-rays, from a cell relaxed with PBE.

Top 10 peaks for 2θ = 10–90°, in order of falling intensity:
Position (°2θ)  intensity
39.3  100
27.5  65
71.2  34
64.2  24
48.6  18
56.7  17
23.7  12
84.4  11
46.4  7
62.3  3

Cell and atoms:
Cell lengths 6.4917, 6.4917, 6.4917 Å; angles 90.00, 90.00, 90.00 degrees
Fractional coordinates of all 16 atoms:
Mg: 0.2500 0.2500 0.2500
Mg: 0.2500 0.2500 0.7500
Mg: 0.2500 0.7500 0.2500
Mg: 0.2500 0.7500 0.7500
Mg: 0.7500 0.2500 0.2500
Mg: 0.7500 0.2500 0.7500
Mg: 0.7500 0.7500 0.2500
Mg: 0.7500 0.7500 0.7500
Ag: 0.0000 0.0000 0.0000
Ag: 0.0000 0.5000 0.5000
Ag: 0.5000 0.0000 0.5000
Ag: 0.5000 0.5000 0.0000
Pt: 0.0000 0.0000 0.5000
Pt: 0.0000 0.5000 0.0000
Pt: 0.5000 0.0000 0.0000
Pt: 0.5000 0.5000 0.5000

***

[4]
Computed powder XRD pattern of Tm3FeSi3 for Cu Kα X-rays, from a cell relaxed with PBE.

Top 10 peaks for 2θ = 10–90°, in order of falling intensity:
Position (°2θ)  intensity
34.2  100
34.7  94
23.5  61
34.0  58
28.0  47
44.0  40
27.1  29
42.1  28
39.0  22
67.3  20

Cell and atoms:
Cell lengths 5.5672, 5.5672, 13.3325 Å; angles 109.50, 109.50, 43.40 degrees
Fractional coordinates of all 14 atoms:
Tm: 0.0239 0.0239 0.3794
Tm: 0.1009 0.1009 0.9191
Tm: 0.2486 0.2486 0.2298
Tm: 0.7514 0.7514 0.7702
Tm: 0.8991 0.8991 0.0809
Tm: 0.9761 0.9761 0.6206
Fe: 0.2528 0.2528 0.5847
Fe: 0.7472 0.7472 0.4153
Si: 0.3572 0.3572 0.4567
Si: 0.3853 0.3853 0.9247
Si: 0.4457 0.4457 0.7580
Si: 0.5543 0.5543 0.2420
Si: 0.6147 0.6147 0.0753
Si: 0.6428 0.6428 0.5433

***

[5]
Computed powder XRD pattern of Cs3As for Cu Kα X-rays, from a cell relaxed with PBE.

Top 10 peaks for 2θ = 10–90°, in order of falling intensity:
Position (°2θ)  intensity
28.0  100
28.5  83
22.4  29
49.8  28
40.3  24
24.3  22
25.9  16
44.2  14
49.5  14
46.7  12

Cell and atoms:
Cell lengths 11.0429, 11.0429, 11.4303 Å; angles 90.00, 90.00, 120.00 degrees
Fractional coordinates of all 24 atoms:
Cs: 0.0000 0.0000 0.2399
Cs: 0.0000 0.0000 0.7399
Cs: 0.0000 0.2927 0.0000
Cs: 0.0000 0.3692 0.3336
Cs: 0.0000 0.6308 0.8336
Cs: 0.0000 0.7073 0.5000
Cs: 0.2927 0.0000 0.0000
Cs: 0.2927 0.2927 0.5000
Cs: 0.3333 0.6667 0.1202
Cs: 0.3333 0.6667 0.6202
Cs: 0.3692 0.0000 0.3336
Cs: 0.3692 0.3692 0.8336
Cs: 0.6308 0.0000 0.8336
Cs: 0.6308 0.6308 0.3336
Cs: 0.6667 0.3333 0.1202
Cs: 0.6667 0.3333 0.6202
Cs: 0.7073 0.0000 0.5000
Cs: 0.7073 0.7073 0.0000
As: 0.0000 0.3281 0.6666
As: 0.0000 0.6719 0.1666
As: 0.3281 0.0000 0.6666
As: 0.3281 0.3281 0.1666
As: 0.6719 0.0000 0.1666
As: 0.6719 0.6719 0.6666

***

[6]
Computed powder XRD pattern of LiTi2O4 for Cu Kα X-rays, from a cell relaxed with PBE.

Top 10 peaks for 2θ = 10–90°, in order of falling intensity:
Position (°2θ)  intensity
19.6  100
32.6  42
50.8  36
36.3  34
39.8  22
35.5  19
51.8  19
59.5  17
45.1  14
63.8  13

Cell and atoms:
Cell lengths 2.9552, 5.1126, 9.7657 Å; angles 90.00, 90.00, 90.00 degrees
Fractional coordinates of all 14 atoms:
Li: 0.0000 0.1874 0.0000
Li: 0.0000 0.8126 0.5000
Ti: 0.0000 0.2342 0.6713
Ti: 0.0000 0.7658 0.1713
Ti: 0.5000 0.2731 0.3896
Ti: 0.5000 0.7269 0.8896
O: 0.0000 0.0394 0.3178
O: 0.0000 0.4472 0.4983
O: 0.0000 0.5528 0.9983
O: 0.0000 0.9606 0.8178
O: 0.5000 0.0388 0.5671
O: 0.5000 0.4454 0.7558
O: 0.5000 0.5546 0.2558
O: 0.5000 0.9612 0.0671

***

[7]
Computed powder XRD pattern of InPt for Cu Kα X-rays, from a cell relaxed with PBE.

Top 10 peaks for 2θ = 10–90°, in order of falling intensity:
Position (°2θ)  intensity
40.4  100
40.0  85
40.2  53
38.6  36
39.0  35
39.3  33
21.4  24
57.3  23
23.0  23
31.8  18

Cell and atoms:
Cell lengths 7.0623, 7.0623, 7.7410 Å; angles 121.31, 121.31, 37.00 degrees
Fractional coordinates of all 10 atoms:
In: 0.0000 0.0000 0.0000
In: 0.1279 0.1279 0.7436
In: 0.3511 0.3511 0.6545
In: 0.6489 0.6489 0.3455
In: 0.8721 0.8721 0.2564
Pt: 0.2411 0.2411 0.2366
Pt: 0.3911 0.3911 0.0561
Pt: 0.5000 0.5000 0.5000
Pt: 0.6089 0.6089 0.9439
Pt: 0.7589 0.7589 0.7634

***

[8]
Computed powder XRD pattern of Mg14TiCo for Cu Kα X-rays, from a cell relaxed with PBE.

Top 10 peaks for 2θ = 10–90°, in order of falling intensity:
Position (°2θ)  intensity
37.8  100
35.9  25
33.1  25
71.1  18
65.7  17
59.1  17
49.6  15
72.3  13
16.4  12
24.2  5

Cell and atoms:
Cell lengths 6.2508, 6.2508, 10.0188 Å; angles 90.00, 90.00, 120.00 degrees
Fractional coordinates of all 16 atoms:
Mg: 0.0000 0.0000 0.2442
Mg: 0.0000 0.0000 0.7558
Mg: 0.0170 0.5085 0.2593
Mg: 0.0170 0.5085 0.7407
Mg: 0.3308 0.1654 0.5000
Mg: 0.3398 0.1699 0.0000
Mg: 0.4915 0.5085 0.2593
Mg: 0.4915 0.5085 0.7407
Mg: 0.4915 0.9830 0.2593
Mg: 0.4915 0.9830 0.7407
Mg: 0.8301 0.1699 0.0000
Mg: 0.8301 0.6602 0.0000
Mg: 0.8346 0.1654 0.5000
Mg: 0.8346 0.6692 0.5000
Ti: 0.3333 0.6667 0.0000
Co: 0.3333 0.6667 0.5000

***

[9]
Computed powder XRD pattern of TbGeRh for Cu Kα X-rays, from a cell relaxed with PBE.

Top 10 peaks for 2θ = 10–90°, in order of falling intensity:
Position (°2θ)  intensity
35.1  100
34.0  51
41.4  36
41.7  32
67.4  22
40.7  21
58.4  15
37.9  15
59.7  13
55.5  13

Cell and atoms:
Cell lengths 6.9571, 4.3345, 7.5679 Å; angles 90.00, 90.00, 90.00 degrees
Fractional coordinates of all 12 atoms:
Tb: 0.0014 0.2500 0.1958
Tb: 0.4986 0.7500 0.6958
Tb: 0.5014 0.2500 0.3042
Tb: 0.9986 0.7500 0.8042
Ge: 0.2112 0.7500 0.3955
Ge: 0.2888 0.2500 0.8955
Ge: 0.7112 0.7500 0.1045
Ge: 0.7888 0.2500 0.6045
Rh: 0.1559 0.2500 0.5676
Rh: 0.3441 0.7500 0.0676
Rh: 0.6559 0.2500 0.9324
Rh: 0.8441 0.7500 0.4324

***

[10]
Computed powder XRD pattern of K2FeI4 for Cu Kα X-rays, from a cell relaxed with PBE.

Top 10 peaks for 2θ = 10–90°, in order of falling intensity:
Position (°2θ)  intensity
24.7  100
29.0  71
25.5  47
25.3  46
36.7  31
41.4  29
27.6  28
41.5  28
27.7  26
19.1  25

Cell and atoms:
Cell lengths 7.9493, 8.2222, 9.7834 Å; angles 90.00, 108.20, 90.00 degrees
Fractional coordinates of all 14 atoms:
K: 0.2186 0.2500 0.0516
K: 0.2680 0.2500 0.5680
K: 0.7320 0.7500 0.4320
K: 0.7814 0.7500 0.9484
Fe: 0.2238 0.7500 0.7991
Fe: 0.7762 0.2500 0.2009
I: 0.0062 0.0018 0.7397
I: 0.0062 0.4982 0.7397
I: 0.3996 0.7500 0.0749
I: 0.4203 0.7500 0.6274
I: 0.5797 0.2500 0.3726
I: 0.6004 0.2500 0.9251
I: 0.9938 0.5018 0.2603
I: 0.9938 0.9982 0.2603